Diffraction record for VF4. The XRD peak list is theoretical, not measured: it uses a crystal structure in the Materials Project, relaxed with PBE+U and Cu Ka.
No peak broadening, texture or thermal motion is included.

Structural model:
```
data_VF4
_chemical_formula_sum 'V4 F16'
_cell_length_a 11.4216
_cell_length_b 5.1991
_cell_length_c 5.4752
_cell_angle_alpha 90.00
_cell_angle_beta 93.71
_cell_angle_gamma 90.00
_space_group_name_H-M_alt 'C 1 2/c 1'
_space_group_IT_number 15
loop_
_space_group_symop_operation_xyz
'x,y,z'
'-x,-y,-z'
'-x,y,-z+1/2'
'x,-y,z+1/2'
'x+1/2,y+1/2,z'
'-x+1/2,-y+1/2,-z'
'-x+1/2,y+1/2,-z+1/2'
'x+1/2,-y+1/2,z+1/2'
loop_
_atom_site_label
_atom_site_fract_x
_atom_site_fract_y
_atom_site_fract_z
V1 0.2500 0.2500 0.0000
F1 0.1037 0.1482 0.9998
F2 0.2095 0.4559 0.7028
```

Principal peaks in the range 2θ from 10° to 80°, most intense first:
d = 5.699 Å, intensity 100; d = 3.625 Å, intensity 56; d = 3.530 Å, intensity 44; d = 1.883 Å, intensity 12; d = 2.733 Å, intensity 12; d = 1.990 Å, intensity 10; d = 1.812 Å, intensity 9; d = 2.192 Å, intensity 8

***

Diffraction record for VF3. The XRD peak list is theoretical, not measured: it uses a crystal structure in the Materials Project, relaxed with PBE+U and Cu Ka.
No peak broadening, texture or thermal motion is included.

Structural model:
```
data_VF3
_chemical_formula_sum 'V6 F18'
_cell_length_a 5.2922
_cell_length_b 5.2922
_cell_length_c 13.7119
_cell_angle_alpha 90.00
_cell_angle_beta 90.00
_cell_angle_gamma 120.00
_space_group_name_H-M_alt 'R -3 c'
_space_group_IT_number 167
_space_group_name_Hall '-R 3 2"c'
loop_
_atom_site_label
_atom_site_fract_x
_atom_site_fract_y
_atom_site_fract_z
V1 0.0000 0.0000 0.0000
F1 0.0000 0.4017 0.2500
```

Principal peaks in the range 2θ from 10° to 80°, most intense first:
d = 3.810 Å, intensity 100; d = 1.730 Å, intensity 25; d = 1.905 Å, intensity 21; d = 2.290 Å, intensity 20; d = 2.745 Å, intensity 14; d = 1.679 Å, intensity 12; d = 1.528 Å, intensity 9; d = 1.250 Å, intensity 7

***

Diffraction record for VF4. The XRD peak list is theoretical, not measured: it uses a crystal structure in the Materials Project, relaxed with PBE+U and Cu Ka.
No peak broadening, texture or thermal motion is included.

Structural model:
```
data_VF4
_chemical_formula_sum 'V4 F16'
_cell_length_a 4.9605
_cell_length_b 6.0809
_cell_length_c 10.8932
_cell_angle_alpha 90.00
_cell_angle_beta 116.08
_cell_angle_gamma 90.00
_space_group_name_H-M_alt 'P 1 21/c 1'
_space_group_IT_number 14
loop_
_space_group_symop_operation_xyz
'x,y,z'
'-x,-y,-z'
'-x,y+1/2,-z+1/2'
'x,-y+1/2,z+1/2'
loop_
_atom_site_label
_atom_site_fract_x
_atom_site_fract_y
_atom_site_fract_z
V1 0.2479 0.1629 0.4979
F1 0.0005 0.6455 0.6192
F2 0.0279 0.0925 0.6017
F3 0.4692 0.0858 0.3958
F4 0.4859 0.1337 0.1079
```

Principal peaks in the range 2θ from 10° to 80°, most intense first:
d = 4.892 Å, intensity 100; d = 3.561 Å, intensity 59; d = 5.165 Å, intensity 58; d = 2.299 Å, intensity 50; d = 3.594 Å, intensity 47; d = 2.196 Å, intensity 30; d = 1.787 Å, intensity 26; d = 1.374 Å, intensity 16